(1)
# Sr2Zn7Au
Calculated X-ray diffraction stick pattern, Cu Kα. Input: a cell relaxed with PBE.
Peak positions follow from Bragg's law for the DFT cell and can differ from measured ones.

Principal peaks in the range 15 to 90 degrees two-theta, most intense first:
Position (°2θ)	I_rel	(hkl)
33.6	100	1 1 2
42.4	50	2 0 0
31.4	37	1 0 3
43.5	31	1 1 4
44.7	23	1 0 5
71.9	21	3 1 2
63.3	16	2 1 5
61.5	16	2 2 0
53.7	16	2 1 3
15.4	14	0 0 2

Structural model:
a b c (Å): 4.263 4.263 11.519
angles (deg): 90.00 90.00 90.00
Space group P-4m2 (No. 115)
Inequivalent atoms, fractional coordinates:
Sr (0.000, 0.500, 0.250) x2
Zn (0.000, 0.000, 0.000) x1
Zn (0.000, 0.000, 0.500) x1
Zn (0.000, 0.500, 0.636) x2
Zn (0.000, 0.500, 0.862) x2
Zn (0.500, 0.500, 0.500) x1
Au (0.500, 0.500, 0.000) x1

(2)
# PuTlSn
Calculated X-ray diffraction stick pattern, Cu Kα. Input: a cell relaxed with PBE.
Peak positions follow from Bragg's law for the DFT cell and can differ from measured ones.

Principal peaks in the range 15 to 90 degrees two-theta, most intense first:
Position (°2θ)	I_rel	(hkl)
32.7	100	1 0 3
35.5	41	1 1 0
61.9	33	2 1 3
56.4	21	1 1 6
51.0	15	2 0 0
68.5	12	2 0 6
42.4	12	0 0 6
71.4	10	1 0 9
84.3	7	3 0 3
25.9	7	1 0 1

Structural model:
a b c (Å): 3.579 3.579 12.790
angles (deg): 90.00 90.00 90.00
Space group I4mm (No. 107)
Inequivalent atoms, fractional coordinates:
Pu (0.000, 0.000, 0.000) x2
Tl (0.000, 0.000, 0.323) x2
Sn (0.000, 0.000, 0.665) x2

(3)
# Pm2PrCd5
Calculated X-ray diffraction stick pattern, Cu Kα. Input: a cell relaxed with PBE.
Peak positions follow from Bragg's law for the DFT cell and can differ from measured ones.

Principal peaks in the range 15 to 90 degrees two-theta, most intense first:
Position (°2θ)	I_rel	(hkl)
33.5	100	1 1 4
34.2	50	2 0 0
60.8	35	3 1 4
49.1	18	2 2 0
59.5	16	2 0 8
70.4	9	2 2 8
47.1	8	0 0 8
82.2	8	4 2 0
81.8	7	3 3 4
78.8	6	1 1 12

Structural model:
a b c (Å): 5.247 5.247 15.425
angles (deg): 90.00 90.00 90.00
Space group I4/mmm (No. 139)
Inequivalent atoms, fractional coordinates:
Pm (0.000, 0.000, 0.235) x4
Pr (0.000, 0.000, 0.500) x2
Cd (0.000, 0.000, 0.000) x2
Cd (0.000, 0.500, 0.119) x8

(4)
# Rb3CuOs2O8
Calculated X-ray diffraction stick pattern, Cu Kα. Input: a cell relaxed with PBE.
Peak positions follow from Bragg's law for the DFT cell and can differ from measured ones.

Principal peaks in the range 15 to 90 degrees two-theta, most intense first:
Position (°2θ)	I_rel	(hkl)
29.8	100	1 1 0
28.2	72	0 1 2
20.4	51	0 1 1
41.5	37	2 0 2
51.9	27	1 2 2
38.0	22	0 1 3
52.9	20	3 0 0
61.9	16	2 2 0
22.3	13	0 0 2
55.3	13	1 1 4

Structural model:
a b c (Å): 5.9979 5.9979 7.9807
angles (deg): 90.00 90.00 120.00
Space group P-3m1 (No. 164)
Inequivalent atoms, fractional coordinates:
Rb (0.0000, 0.0000, 0.0000) x1
Rb (0.3333, 0.6667, 0.6608) x2
Cu (0.0000, 0.0000, 0.5000) x1
Os (0.3333, 0.6667, 0.2334) x2
O (0.1707, 0.3413, 0.3258) x6
O (0.3333, 0.6667, 0.0096) x2